NiAs3: computed powder XRD pattern (a wavelength of 1.5418 Å), based on DFT lattice parameters and positions (PBE).
Intensities are scaled so that the largest is 100.

Cell and atoms:
```
NiAs3
1.0
7.331 0.000 0.000
-3.665 6.349 0.000
0.000 0.000 3.759
Ni As
2 6
Direct
0.333 0.667 0.250
0.667 0.333 0.750
0.216 0.433 0.750
0.216 0.784 0.750
0.433 0.216 0.250
0.567 0.784 0.750
0.784 0.216 0.250
0.784 0.567 0.250
```

The 10 most intense peaks (2θ from 10° to 80°), low angle first:
| 2θ/deg | I_rel |
| --- | --- |
| 13.95 | 89 |
| 27.57 | 28 |
| 28.11 | 50 |
| 37.07 | 100 |
| 37.48 | 32 |
| 44.81 | 21 |
| 48.43 | 21 |
| 49.42 | 54 |
| 51.93 | 15 |
| 57.82 | 29 |